Record 1
Calculated powder X-ray diffraction pattern of BaYInWO6 for Cu Kα, from the GGA+U geometry in the Materials Project.

Crystal structure
```
data_BaYInWO6
_chemical_formula_sum 'Ba4 Y4 In4 W4 O24'
_symmetry_space_group_name_H-M 'P n n n'
_symmetry_Int_Tables_number 48
_cell_length_a 8.4886
_cell_length_b 8.4887
_cell_length_c 8.5058
_cell_angle_alpha 90.00
_cell_angle_beta 90.00
_cell_angle_gamma 90.00
loop_
_symmetry_equiv_pos_as_xyz
'x,y,z'
'-x,-y,-z'
'-x+1/2,-y+1/2,z'
'x+1/2,y+1/2,-z'
'x,-y+1/2,-z+1/2'
'-x,y+1/2,z+1/2'
'-x+1/2,y,-z+1/2'
'x+1/2,-y,z+1/2'
loop_
_atom_site_label
_atom_site_type_symbol
_atom_site_fract_x
_atom_site_fract_y
_atom_site_fract_z
Ba1 Ba 0.2500 0.2500 0.2500
Ba2 Ba 0.2500 0.2500 0.7500
Y1 Y 0.0000 0.0000 0.0000
In1 In 0.2500 0.7500 0.2500
In2 In 0.2500 0.7500 0.7500
W1 W 0.0000 0.0000 0.5000
O1 O 0.0013 0.5074 0.2311
O2 O 0.0023 0.2314 0.4929
O3 O 0.2310 0.0126 0.5016
```

Largest 10 diffraction maxima, by angle, 2θ = 10–90°:
2θ/deg	d/Å	I_rel
18.09	4.904	9
29.75	3.003	100
42.57	2.124	29
52.80	1.734	40
61.78	1.502	18
69.97	1.345	6
70.10	1.342	12
77.92	1.226	6
85.53	1.135	14
85.61	1.135	7

***

Record 2
Calculated powder X-ray diffraction pattern of MgMn2Sb4O12 for Cu Kα, from the GGA+U geometry in the Materials Project.

Crystal structure
```
data_MgMn2Sb4O12
_chemical_formula_sum 'Mg1 Mn2 Sb4 O12'
_symmetry_space_group_name_H-M 'P 1'
_symmetry_Int_Tables_number 1
_cell_length_a 6.0084
_cell_length_b 6.1427
_cell_length_c 7.4634
_cell_angle_alpha 71.67
_cell_angle_beta 74.07
_cell_angle_gamma 79.40
loop_
_symmetry_equiv_pos_as_xyz
'x,y,z'
loop_
_atom_site_label
_atom_site_type_symbol
_atom_site_fract_x
_atom_site_fract_y
_atom_site_fract_z
Mg1 Mg 0.0000 0.0000 0.0000
Mn1 Mn 0.4148 0.7794 0.1727
Mn2 Mn 0.5813 0.2126 0.8346
Sb1 Sb 0.3345 0.8298 0.6655
Sb2 Sb 0.6665 0.1610 0.3400
Sb3 Sb 0.9867 0.5091 0.5036
Sb4 Sb 0.9978 0.4988 0.0035
O1 O 0.0161 0.1727 0.1879
O2 O 0.0678 0.6530 0.1801
O3 O 0.2607 0.7164 0.4703
O4 O 0.3274 0.1587 0.4824
O5 O 0.3388 0.5009 0.8519
O6 O 0.3621 0.9566 0.8774
O7 O 0.6387 0.0345 0.1281
O8 O 0.6583 0.4918 0.1576
O9 O 0.6814 0.8216 0.5231
O10 O 0.7377 0.2725 0.5374
O11 O 0.9247 0.3486 0.8257
O12 O 0.9839 0.8228 0.8156
```

Largest 10 diffraction maxima, by angle, 2θ = 10–90°:
2θ/deg	d/Å	I_rel
17.66	5.023	24
22.93	3.879	100
26.20	3.401	73
33.09	2.707	32
33.29	2.691	59
33.77	2.654	33
34.42	2.606	29
46.99	1.934	24
50.92	1.793	24
58.47	1.578	21

***

Record 3
Calculated powder X-ray diffraction pattern of Mn3ZnI8O24 for Cu Kα, from the GGA+U geometry in the Materials Project.

Crystal structure
```
data_Mn3ZnI8O24
_chemical_formula_sum 'Mn3 Zn1 I8 O24'
_symmetry_space_group_name_H-M 'P 1'
_symmetry_Int_Tables_number 1
_cell_length_a 5.3098
_cell_length_b 11.2236
_cell_length_c 11.2558
_cell_angle_alpha 60.47
_cell_angle_beta 89.97
_cell_angle_gamma 89.91
loop_
_symmetry_equiv_pos_as_xyz
'x,y,z'
loop_
_atom_site_label
_atom_site_type_symbol
_atom_site_fract_x
_atom_site_fract_y
_atom_site_fract_z
Mn1 Mn 0.0000 0.0000 0.0000
Mn2 Mn 0.0043 0.5007 0.4968
Mn3 Mn 0.5026 0.0207 0.4894
Zn1 Zn 0.4921 0.5210 0.9861
I1 I 0.4047 0.1777 0.6786
I2 I 0.4099 0.6750 0.1753
I3 I 0.4166 0.1807 0.1442
I4 I 0.4265 0.6732 0.6474
I5 I 0.9031 0.3451 0.3054
I6 I 0.9042 0.8410 0.8113
I7 I 0.9121 0.3450 0.8415
I8 I 0.9250 0.8472 0.3417
O1 O 0.2020 0.1483 0.0347
O2 O 0.2165 0.8222 0.1492
O3 O 0.2177 0.3267 0.6529
O4 O 0.2273 0.0409 0.8202
O5 O 0.2274 0.6405 0.5330
O6 O 0.2334 0.5375 0.3168
O7 O 0.2652 0.0680 0.3097
O8 O 0.2680 0.5626 0.8119
O9 O 0.2746 0.3449 0.1100
O10 O 0.2778 0.8367 0.6088
O11 O 0.2867 0.1550 0.5377
O12 O 0.2933 0.6521 0.0337
O13 O 0.6976 0.3768 0.9520
O14 O 0.7102 0.6943 0.8365
O15 O 0.7180 0.1949 0.3332
O16 O 0.7228 0.4817 0.1640
O17 O 0.7275 0.8795 0.4568
O18 O 0.7328 0.9817 0.6697
O19 O 0.7639 0.4572 0.6749
O20 O 0.7652 0.9582 0.1783
O21 O 0.7700 0.1820 0.8747
O22 O 0.7785 0.6843 0.3783
O23 O 0.7867 0.3675 0.4469
O24 O 0.7884 0.8647 0.9519
```

Largest 10 diffraction maxima, by angle, 2θ = 10–90°:
2θ/deg	d/Å	I_rel
24.75	3.597	100
24.85	3.583	48
31.62	2.830	18
31.85	2.810	32
33.76	2.655	12
40.60	2.222	13
46.93	1.936	15
47.07	1.931	21
52.66	1.738	10
55.20	1.664	11

***

Record 4
Calculated powder X-ray diffraction pattern of Li2Mn3F8 for Cu Kα, from the GGA+U geometry in the Materials Project.

Crystal structure
```
data_Li2Mn3F8
_chemical_formula_sum 'Li6 Mn9 F24'
_symmetry_space_group_name_H-M 'R -3 m'
_symmetry_Int_Tables_number 166
_symmetry_space_group_name_Hall '-R 3 2"'
_cell_length_a 6.3264
_cell_length_b 6.3264
_cell_length_c 15.3032
_cell_angle_alpha 90.00
_cell_angle_beta 90.00
_cell_angle_gamma 120.00
loop_
_atom_site_label
_atom_site_type_symbol
_atom_site_fract_x
_atom_site_fract_y
_atom_site_fract_z
Li1 Li 0.0000 0.0000 0.1288
Mn1 Mn 0.0000 0.5000 0.0000
F1 F 0.0000 0.0000 0.4036
F2 F 0.0108 0.5054 0.4102
```

Largest 10 diffraction maxima, by angle, 2θ = 10–90°:
2θ/deg	d/Å	I_rel
17.19	5.158	23
17.38	5.101	100
19.93	4.455	27
33.33	2.688	11
34.78	2.579	79
44.38	2.041	67
53.64	1.709	28
58.34	1.582	29
61.37	1.511	17
70.49	1.336	12

***

Record 5
Calculated powder X-ray diffraction pattern of SrCa3V4O12 for Cu Kα, from the GGA+U geometry in the Materials Project.

Crystal structure
```
data_SrCa3V4O12
_chemical_formula_sum 'Sr1 Ca3 V4 O12'
_symmetry_space_group_name_H-M 'P 1 m 1'
_symmetry_Int_Tables_number 6
_cell_length_a 5.3898
_cell_length_b 7.8472
_cell_length_c 5.4185
_cell_angle_alpha 90.00
_cell_angle_beta 90.06
_cell_angle_gamma 90.00
loop_
_symmetry_equiv_pos_as_xyz
'x,y,z'
'x,-y,z'
loop_
_atom_site_label
_atom_site_type_symbol
_atom_site_fract_x
_atom_site_fract_y
_atom_site_fract_z
Sr1 Sr 0.0000 0.0000 0.0000
Ca1 Ca 0.4529 0.5000 0.4935
Ca2 Ca 0.5098 0.0000 0.4982
Ca3 Ca 0.9505 0.5000 0.9951
V1 V 0.4797 0.2530 0.9964
V2 V 0.9808 0.2526 0.4948
O1 O 0.0071 0.5000 0.4323
O2 O 0.1997 0.2796 0.7959
O3 O 0.2648 0.2161 0.2990
O4 O 0.4819 0.5000 0.0610
O5 O 0.4852 0.0000 0.9325
O6 O 0.7026 0.2874 0.7014
O7 O 0.7587 0.2340 0.2029
O8 O 0.9528 0.0000 0.5397
```

Largest 10 diffraction maxima, by angle, 2θ = 10–90°:
2θ/deg	d/Å	I_rel
32.71	2.738	100
33.06	2.709	26
33.25	2.695	24
46.28	1.962	24
47.59	1.911	40
58.05	1.589	11
58.16	1.586	11
58.83	1.570	23
59.07	1.564	18
68.56	1.369	21

***

Record 6
Calculated powder X-ray diffraction pattern of MgV4Sb2P6O24 for Cu Kα, from the GGA+U geometry in the Materials Project.

Crystal structure
```
data_MgV4Sb2P6O24
_chemical_formula_sum 'Mg2 V8 Sb4 P12 O48'
_symmetry_space_group_name_H-M 'C 1 2 1'
_symmetry_Int_Tables_number 5
_cell_length_a 15.3827
_cell_length_b 8.8524
_cell_length_c 8.8497
_cell_angle_alpha 90.00
_cell_angle_beta 124.12
_cell_angle_gamma 90.00
loop_
_symmetry_equiv_pos_as_xyz
'x,y,z'
'-x,y,-z'
'x+1/2,y+1/2,z'
'-x+1/2,y+1/2,-z'
loop_
_atom_site_label
_atom_site_type_symbol
_atom_site_fract_x
_atom_site_fract_y
_atom_site_fract_z
Mg1 Mg 0.0000 0.0000 0.0000
V1 V 0.1009 0.3987 0.3029
V2 V 0.1042 0.8885 0.8107
Sb1 Sb 0.2323 0.3830 0.7233
P1 P 0.0000 0.5947 0.5000
P2 P 0.0000 0.6838 0.0000
P3 P 0.1434 0.2537 0.0005
P4 P 0.1441 0.0379 0.4744
O1 O 0.0414 0.3047 0.8260
O2 O 0.0515 0.9983 0.2789
O3 O 0.0568 0.5928 0.1762
O4 O 0.0606 0.6789 0.6777
O5 O 0.0827 0.4799 0.5039
O6 O 0.0833 0.7979 0.0151
O7 O 0.1355 0.9855 0.6260
O8 O 0.1404 0.0758 0.0191
O9 O 0.1574 0.3175 0.1740
O10 O 0.1604 0.2180 0.4935
O11 O 0.2370 0.3008 0.9903
O12 O 0.2450 0.9744 0.4878
```

Largest 10 diffraction maxima, by angle, 2θ = 10–90°:
2θ/deg	d/Å	I_rel
14.15	6.258	35
20.03	4.432	100
23.24	3.828	27
23.48	3.789	26
23.64	3.763	24
24.49	3.634	24
31.37	2.852	37
31.70	2.822	42
31.99	2.798	48
35.09	2.557	33

***

Question: Which formula does entry 2 have?
Answer: MgMn2Sb4O12